For Li2CrCuF6, DFT lattice parameters and positions (PBE+U) gives the computed powder X-ray diffraction pattern in this record (Cu Kα).
Intensities are scaled so that the largest is 100.

Cell and atoms:
```
Li2CrCuF6
1.0
5.217 0.000 0.000
0.000 5.218 0.000
-5.197 0.000 8.423
Li Cr Cu F
4 2 2 12
Direct
0.212 0.000 0.213 Li
0.212 0.500 0.713 Li
0.788 0.000 0.787 Li
0.788 0.500 0.287 Li
0.500 0.000 0.000 Cr
0.500 0.500 0.500 Cr
0.000 0.000 0.500 Cu
0.000 0.500 0.000 Cu
0.175 0.183 0.002 F
0.175 0.317 0.502 F
0.181 0.714 0.336 F
0.181 0.786 0.836 F
0.494 0.221 0.839 F
0.494 0.279 0.339 F
0.506 0.721 0.661 F
0.506 0.779 0.161 F
0.819 0.214 0.164 F
0.819 0.286 0.664 F
0.825 0.683 0.498 F
0.825 0.817 0.998 F
```

Main lines, sorted by position (2θ from 10° to 90°):
2theta, intensity, (hkl)
21.09, 70, 0 0 2
24.12, 96, 1 1 -1
32.26, 100, 1 1 -3
40.37, 32, 1 1 2
40.68, 45, 0 2 2
60.22, 37, 1 3 1